1.
The following is a simulated powder diffractogram of Dy3GaO6. It was derived from a DFT-relaxed cell (PBE, the Materials Project), using a wavelength of 1.5418 Å.
No peak broadening, texture or thermal motion is included.

Cell and atoms:
Cell: 7.1430 7.1430 5.4463 Å, 90.00 90.00 102.85°
Fractional positions:
Dy 0.1019 0.8981 0.5000
Dy 0.2010 0.4118 0.5473
Dy 0.4118 0.2010 0.0473
Dy 0.5882 0.7990 0.5473
Dy 0.7990 0.5882 0.0473
Dy 0.8981 0.1019 0.0000
Ga 0.3070 0.6930 0.0777
Ga 0.6930 0.3070 0.5777
O 0.0780 0.6057 0.2566
O 0.1440 0.1762 0.2748
O 0.1762 0.1440 0.7748
O 0.2844 0.7156 0.7402
O 0.3943 0.9220 0.2566
O 0.4614 0.5386 0.2198
O 0.5386 0.4614 0.7198
O 0.6057 0.0780 0.7566
O 0.7156 0.2844 0.2402
O 0.8238 0.8560 0.2748
O 0.8560 0.8238 0.7748
O 0.9220 0.3943 0.7566

Principal peaks in the range 2θ from 10° to 90°, most intense first:
2θ 30.47, I = 100; 2θ 30.77, I = 40; 2θ 51.17, I = 23; 2θ 45.94, I = 23; 2θ 32.89, I = 21; 2θ 31.17, I = 18; 2θ 46.59, I = 18; 2θ 60.02, I = 17



2.
The following is a simulated powder diffractogram of DyGaO3. It was derived from a DFT-relaxed cell (PBE, the Materials Project), using a wavelength of 1.5418 Å.
No peak broadening, texture or thermal motion is included.

Cell and atoms:
Cell: 5.5972 7.6387 5.3072 Å, 90.00 90.00 90.00°
Fractional positions:
Dy 0.0677 0.2500 0.0184
Dy 0.4323 0.7500 0.5184
Dy 0.5677 0.2500 0.4816
Dy 0.9323 0.7500 0.9816
Ga 0.0000 0.0000 0.5000
Ga 0.0000 0.5000 0.5000
Ga 0.5000 0.0000 0.0000
Ga 0.5000 0.5000 0.0000
O 0.0374 0.7500 0.3904
O 0.1955 0.5561 0.8057
O 0.1955 0.9439 0.8057
O 0.3045 0.0561 0.3057
O 0.3045 0.4439 0.3057
O 0.4626 0.2500 0.8904
O 0.5374 0.7500 0.1096
O 0.6955 0.5561 0.6943
O 0.6955 0.9439 0.6943
O 0.8045 0.0561 0.1943
O 0.8045 0.4439 0.1943
O 0.9626 0.2500 0.6096

Principal peaks in the range 2θ from 10° to 90°, most intense first:
2θ 33.03, I = 100; 2θ 33.78, I = 25; 2θ 59.95, I = 22; 2θ 25.91, I = 19; 2θ 31.98, I = 19; 2θ 47.20, I = 17; 2θ 53.42, I = 16; 2θ 47.62, I = 14



3.
The following is a simulated powder diffractogram of DyGaO3. It was derived from a DFT-relaxed cell (PBE, the Materials Project), using a wavelength of 1.5418 Å.
No peak broadening, texture or thermal motion is included.

Cell and atoms:
Cell: 6.1210 6.1210 11.7204 Å, 90.00 90.00 120.00°
Fractional positions:
Dy 0.0000 0.0000 0.0000
Dy 0.0000 0.0000 0.5000
Dy 0.3333 0.6667 0.4582
Dy 0.3333 0.6667 0.9582
Dy 0.6667 0.3333 0.4582
Dy 0.6667 0.3333 0.9582
Ga 0.0000 0.3343 0.2254
Ga 0.0000 0.6657 0.7254
Ga 0.3343 0.0000 0.2254
Ga 0.3343 0.3343 0.7254
Ga 0.6657 0.0000 0.7254
Ga 0.6657 0.6657 0.2254
O 0.0000 0.0000 0.2025
O 0.0000 0.0000 0.7025
O 0.0000 0.3068 0.3881
O 0.0000 0.3593 0.0639
O 0.0000 0.6407 0.5639
O 0.0000 0.6932 0.8881
O 0.3068 0.0000 0.3881
O 0.3068 0.3068 0.8881
O 0.3333 0.6667 0.2452
O 0.3333 0.6667 0.7452
O 0.3593 0.0000 0.0639
O 0.3593 0.3593 0.5639
O 0.6407 0.0000 0.5639
O 0.6407 0.6407 0.0639
O 0.6667 0.3333 0.2452
O 0.6667 0.3333 0.7452
O 0.6932 0.0000 0.8881
O 0.6932 0.6932 0.3881

Principal peaks in the range 2θ from 10° to 90°, most intense first:
2θ 33.02, I = 100; 2θ 51.74, I = 37; 2θ 29.18, I = 37; 2θ 30.51, I = 32; 2θ 30.18, I = 28; 2θ 42.72, I = 28; 2θ 61.26, I = 26; 2θ 15.12, I = 25



4.
The following is a simulated powder diffractogram of Dy4Ga12Pd. It was derived from a DFT-relaxed cell (PBE, the Materials Project), using a wavelength of 1.5418 Å.
No peak broadening, texture or thermal motion is included.

Cell and atoms:
Cell: 7.4972 7.4972 7.4972 Å, 109.47 109.47 109.47°
Fractional positions:
Dy 0.0000 0.0000 0.5000
Dy 0.0000 0.5000 0.0000
Dy 0.5000 0.0000 0.0000
Dy 0.5000 0.5000 0.5000
Ga 0.0000 0.2971 0.2971
Ga 0.0000 0.7029 0.7029
Ga 0.2500 0.5000 0.7500
Ga 0.2500 0.7500 0.5000
Ga 0.2971 0.0000 0.2971
Ga 0.2971 0.2971 0.0000
Ga 0.5000 0.2500 0.7500
Ga 0.5000 0.7500 0.2500
Ga 0.7029 0.0000 0.7029
Ga 0.7029 0.7029 0.0000
Ga 0.7500 0.2500 0.5000
Ga 0.7500 0.5000 0.2500
Pd 0.0000 0.0000 0.0000

Principal peaks in the range 2θ from 10° to 90°, most intense first:
2θ 35.94, I = 100; 2θ 41.73, I = 65; 2θ 60.50, I = 38; 2θ 29.18, I = 37; 2θ 72.41, I = 30; 2θ 38.93, I = 11; 2θ 76.19, I = 11; 2θ 68.56, I = 11



5.
The following is a simulated powder diffractogram of DyGaPd. It was derived from a DFT-relaxed cell (PBE, the Materials Project), using a wavelength of 1.5418 Å.
No peak broadening, texture or thermal motion is included.

Cell and atoms:
Cell: 6.9230 4.4703 7.6909 Å, 90.00 90.00 90.00°
Fractional positions:
Dy 0.0179 0.2500 0.1984
Dy 0.4821 0.7500 0.6984
Dy 0.5179 0.2500 0.3016
Dy 0.9821 0.7500 0.8016
Ga 0.1769 0.2500 0.5741
Ga 0.3231 0.7500 0.0741
Ga 0.6769 0.2500 0.9259
Ga 0.8231 0.7500 0.4259
Pd 0.2200 0.7500 0.4018
Pd 0.2800 0.2500 0.9018
Pd 0.7200 0.7500 0.0982
Pd 0.7800 0.2500 0.5982

Principal peaks in the range 2θ from 10° to 90°, most intense first:
2θ 34.81, I = 100; 2θ 40.57, I = 34; 2θ 33.35, I = 33; 2θ 40.35, I = 29; 2θ 54.37, I = 14; 2θ 66.68, I = 14; 2θ 40.83, I = 12; 2θ 37.41, I = 10



6.
The following is a simulated powder diffractogram of Dy3Ga9Pd2. It was derived from a DFT-relaxed cell (PBE, the Materials Project), using a wavelength of 1.5418 Å.
No peak broadening, texture or thermal motion is included.

Cell and atoms:
Cell: 8.1879 8.1879 8.1879 Å, 149.48 109.10 79.13°
Fractional positions:
Dy 0.0000 0.0000 0.0000
Dy 0.3008 0.3008 0.0000
Dy 0.6992 0.6992 0.0000
Ga 0.0223 0.6558 0.3665
Ga 0.1440 0.8616 0.2825
Ga 0.2893 0.6558 0.6335
Ga 0.4209 0.1384 0.2825
Ga 0.5000 0.0000 0.5000
Ga 0.5791 0.8616 0.7175
Ga 0.7107 0.3442 0.3665
Ga 0.8560 0.1384 0.7175
Ga 0.9777 0.3442 0.6335
Pd 0.3167 0.5000 0.8167
Pd 0.6833 0.5000 0.1833

Principal peaks in the range 2θ from 10° to 90°, most intense first:
2θ 35.30, I = 100; 2θ 41.92, I = 40; 2θ 35.48, I = 29; 2θ 38.04, I = 28; 2θ 36.53, I = 28; 2θ 35.17, I = 26; 2θ 42.99, I = 19; 2θ 68.91, I = 17



7.
The following is a simulated powder diffractogram of Dy6Ga19Pt3. It was derived from a DFT-relaxed cell (PBE, the Materials Project), using a wavelength of 1.5418 Å.
No peak broadening, texture or thermal motion is included.

Cell and atoms:
Cell: 8.1023 8.1023 15.6260 Å, 102.72 102.72 31.59°
Fractional positions:
Dy 0.0000 0.0000 0.0000
Dy 0.1583 0.1583 0.8444
Dy 0.3440 0.3440 0.6599
Dy 0.5023 0.5023 0.5042
Dy 0.6502 0.6502 0.3464
Dy 0.8519 0.8519 0.1598
Ga 0.0129 0.0129 0.3569
Ga 0.0717 0.0717 0.2107
Ga 0.1425 0.1425 0.4840
Ga 0.1488 0.1488 0.6505
Ga 0.2130 0.2130 0.0741
Ga 0.2514 0.2514 0.2524
Ga 0.2907 0.2907 0.4295
Ga 0.3598 0.3598 0.0202
Ga 0.4314 0.4314 0.2927
Ga 0.4899 0.4899 0.1456
Ga 0.5189 0.5189 0.8620
Ga 0.5678 0.5678 0.7085
Ga 0.6485 0.6485 0.9876
Ga 0.7058 0.7058 0.5678
Ga 0.7557 0.7557 0.7553
Ga 0.7965 0.7965 0.9336
Ga 0.8540 0.8540 0.5169
Ga 0.9335 0.9335 0.7979
Ga 0.9822 0.9822 0.6473
Pt 0.3552 0.3552 0.8564
Pt 0.6559 0.6559 0.1528
Pt 0.8487 0.8487 0.3537

Principal peaks in the range 2θ from 10° to 90°, most intense first:
2θ 35.23, I = 100; 2θ 40.92, I = 35; 2θ 35.44, I = 25; 2θ 37.51, I = 22; 2θ 44.43, I = 18; 2θ 55.23, I = 14; 2θ 34.41, I = 14; 2θ 61.98, I = 13



8.
The following is a simulated powder diffractogram of Dy3Ga9Pt2. It was derived from a DFT-relaxed cell (PBE, the Materials Project), using a wavelength of 1.5418 Å.
No peak broadening, texture or thermal motion is included.

Cell and atoms:
Cell: 8.1988 8.1988 8.1988 Å, 149.93 106.18 81.71°
Fractional positions:
Dy 0.0000 0.0000 0.0000
Dy 0.3083 0.3083 0.0000
Dy 0.6917 0.6917 0.0000
Ga 0.0286 0.6580 0.3706
Ga 0.1456 0.8630 0.2825
Ga 0.2874 0.6580 0.6294
Ga 0.4195 0.1370 0.2825
Ga 0.5000 0.0000 0.5000
Ga 0.5805 0.8630 0.7175
Ga 0.7126 0.3420 0.3706
Ga 0.8544 0.1370 0.7175
Ga 0.9714 0.3420 0.6294
Pt 0.3016 0.5000 0.8016
Pt 0.6984 0.5000 0.1984

Principal peaks in the range 2θ from 10° to 90°, most intense first:
2θ 35.34, I = 100; 2θ 42.51, I = 32; 2θ 34.90, I = 28; 2θ 37.53, I = 27; 2θ 43.80, I = 19; 2θ 56.11, I = 17; 2θ 37.02, I = 16; 2θ 62.68, I = 13



9.
The following is a simulated powder diffractogram of Dy2Ga9Ru3. It was derived from a DFT-relaxed cell (PBE, the Materials Project), using a wavelength of 1.5418 Å.
No peak broadening, texture or thermal motion is included.

Cell and atoms:
Cell: 7.4797 7.4797 9.7276 Å, 90.00 90.00 60.96°
Fractional positions:
Dy 0.0022 0.6757 0.7500
Dy 0.3243 0.9978 0.7500
Dy 0.6757 0.0022 0.2500
Dy 0.9978 0.3243 0.2500
Ga 0.0094 0.6618 0.0773
Ga 0.0094 0.6618 0.4227
Ga 0.1333 0.8667 0.2500
Ga 0.3377 0.6623 0.5613
Ga 0.3377 0.6623 0.9387
Ga 0.3382 0.9906 0.0773
Ga 0.3382 0.9906 0.4227
Ga 0.3402 0.4444 0.2500
Ga 0.4444 0.3402 0.7500
Ga 0.5556 0.6598 0.2500
Ga 0.6598 0.5556 0.7500
Ga 0.6618 0.0094 0.5773
Ga 0.6618 0.0094 0.9227
Ga 0.6623 0.3377 0.0613
Ga 0.6623 0.3377 0.4387
Ga 0.8667 0.1333 0.7500
Ga 0.9906 0.3382 0.5773
Ga 0.9906 0.3382 0.9227
Ru 0.0000 0.0000 0.0000
Ru 0.0000 0.0000 0.5000
Ru 0.3237 0.3237 0.0000
Ru 0.3237 0.3237 0.5000
Ru 0.6763 0.6763 0.0000
Ru 0.6763 0.6763 0.5000

Principal peaks in the range 2θ from 10° to 90°, most intense first:
2θ 36.68, I = 100; 2θ 41.42, I = 98; 2θ 36.45, I = 48; 2θ 42.05, I = 39; 2θ 36.96, I = 30; 2θ 56.73, I = 21; 2θ 37.77, I = 20; 2θ 30.15, I = 19



10.
The following is a simulated powder diffractogram of Dy3GaS6. It was derived from a DFT-relaxed cell (PBE, the Materials Project), using a wavelength of 1.5418 Å.
No peak broadening, texture or thermal motion is included.

Cell and atoms:
Cell: 8.5351 8.5351 6.4793 Å, 90.00 90.00 102.45°
Fractional positions:
Dy 0.0993 0.9007 0.5000
Dy 0.2158 0.4146 0.4164
Dy 0.4146 0.2158 0.9164
Dy 0.5854 0.7842 0.4164
Dy 0.7842 0.5854 0.9164
Dy 0.9007 0.0993 0.0000
Ga 0.2990 0.7010 0.8791
Ga 0.7010 0.2990 0.3791
S 0.0675 0.5999 0.6997
S 0.1345 0.1896 0.7082
S 0.1896 0.1345 0.2082
S 0.2818 0.7182 0.2302
S 0.4001 0.9325 0.6997
S 0.4604 0.5396 0.7368
S 0.5396 0.4604 0.2368
S 0.5999 0.0675 0.1997
S 0.7182 0.2818 0.7302
S 0.8104 0.8655 0.7082
S 0.8655 0.8104 0.2082
S 0.9325 0.4001 0.1997

Principal peaks in the range 2θ from 10° to 90°, most intense first:
2θ 25.41, I = 100; 2θ 25.73, I = 56; 2θ 42.40, I = 43; 2θ 38.15, I = 41; 2θ 38.82, I = 33; 2θ 51.28, I = 24; 2θ 35.14, I = 23; 2θ 49.36, I = 22